Calculated powder X-ray diffraction pattern of TmMnO3 for Cu Kα, from a GGA+U-relaxed structure.
No peak broadening, texture or thermal motion is included.

```
TmMnO3
1.0
6.143 0.000 0.000
-3.072 5.320 0.000
0.000 0.000 11.486
Tm Mn O
6 6 18
Cartesian
0.000 0.000 0.000
0.000 0.000 5.743
0.000 3.547 5.239
0.000 3.547 10.982
3.072 1.773 5.239
3.072 1.773 10.982
-1.024 1.774 2.587
-2.048 3.547 8.331
2.048 0.000 2.587
1.024 1.774 8.331
4.096 0.000 8.331
2.048 3.547 2.587
0.000 0.000 2.286
0.000 0.000 8.029
-0.941 1.630 4.493
-1.106 1.916 0.684
-1.966 3.405 6.427
-2.131 3.690 10.236
1.882 0.000 4.493
0.941 1.630 10.236
0.000 3.547 2.843
0.000 3.547 8.586
2.212 0.000 0.684
1.106 1.916 6.427
3.931 0.000 6.427
1.966 3.405 0.684
3.072 1.773 2.843
3.072 1.773 8.586
4.261 0.000 10.236
2.131 3.690 4.493
```

Peak list (10 most intense, 10 to 90 degrees two-theta, low angle first)
2θ 15.43, intensity 41, hkl 0 0 2; 2θ 29.07, intensity 49, hkl 1 1 0; 2θ 30.12, intensity 19, hkl 1 1 1; 2θ 31.15, intensity 28, hkl 0 0 4; 2θ 33.07, intensity 100, hkl 1 1 2; 2θ 43.12, intensity 34, hkl 1 1 4; 2θ 51.53, intensity 36, hkl 3 0 0; 2θ 56.66, intensity 18, hkl 1 1 6; 2θ 61.45, intensity 24, hkl 3 0 4; 2θ 62.61, intensity 17, hkl 2 2 2